This entry pairs a crystal structure of Cs3SmSc2Se6 with its calculated PXRD pattern. Radiation: copper Kα. Structure: a crystal structure in Alexandria, relaxed with GGA-PBE.
Peak positions follow from Bragg's law for the DFT cell and can differ from measured ones.

Peak list (6 most intense, 2θ = 10–90°, by angle)
d = 3.125 Å, I 100; d = 2.926 Å, I 18; d = 2.361 Å, I 29; d = 2.084 Å, I 38; d = 1.734 Å, I 17; d = 1.333 Å, I 14

Structural model:
Unit cell a=7.2203 b=12.5040 c=8.6645 alpha=90.00 beta=106.16 gamma=90.00
Space group C2/m (No. 12)
Unique sites:
Cs 0.0000 0.0000 0.0000 (multiplicity 2)
Cs 0.0000 0.3369 0.0000 (multiplicity 4)
Sm 0.0000 0.5000 0.5000 (multiplicity 2)
Sc 0.0000 0.1669 0.5000 (multiplicity 4)
Se 0.2097 0.0000 0.6795 (multiplicity 4)
Se 0.2355 0.3249 0.6811 (multiplicity 8)